# AcLaHgCl
Theoretical X-ray powder pattern, copper Kα. Input: a cell relaxed with PBE.

Structure:
```
AcLaHgCl
1.0
0.000 3.924 3.924
3.924 0.000 3.924
3.924 3.924 0.000
Ac La Hg Cl
1 1 1 1
direct
0.000 0.000 0.000
0.500 0.500 0.500
0.250 0.250 0.250
0.750 0.750 0.750
```

Peak list (6 most intense, 10 to 90 degrees two-theta, in order of falling intensity)
2θ/deg, Rel. int.
32.26, 100
57.53, 39
19.59, 20
46.27, 18
76.82, 17
38.03, 13